The following is a computed powder X-ray diffraction pattern of LiSn3P6O20. It was derived from the GGA-PBE geometry in the Materials Project, using λ = 1.5418 Å (Cu Kα).

The 10 most intense peaks (2θ = 10–90°), by angle:
2θ = 12.66°, I = 58
2θ = 14.15°, I = 45
2θ = 17.64°, I = 55
2θ = 21.03°, I = 100
2θ = 22.03°, I = 42
2θ = 22.21°, I = 70
2θ = 25.46°, I = 63
2θ = 28.52°, I = 40
2θ = 31.50°, I = 42
2θ = 45.34°, I = 37

Atomic structure:
abc: 8.768 8.768 12.518
angles: 90.00 90.00 105.54
Element x y z (fractional)
Li 0.083 0.083 0.000
Li 0.917 0.917 0.500
Sn 0.203 0.797 0.750
Sn 0.276 0.724 0.250
Sn 0.374 0.374 0.000
Sn 0.626 0.626 0.500
Sn 0.724 0.276 0.750
Sn 0.797 0.203 0.250
P 0.122 0.407 0.682
P 0.183 0.281 0.223
P 0.215 0.645 0.516
P 0.281 0.183 0.777
P 0.355 0.785 0.984
P 0.407 0.122 0.318
P 0.593 0.878 0.818
P 0.645 0.215 0.484
P 0.719 0.817 0.277
P 0.785 0.355 0.016
P 0.817 0.719 0.723
P 0.878 0.593 0.182
O 0.031 0.234 0.290
O 0.037 0.711 0.195
O 0.136 0.464 0.561
O 0.146 0.755 0.589
O 0.151 0.643 0.404
O 0.166 0.549 0.757
O 0.174 0.184 0.873
O 0.184 0.174 0.127
O 0.234 0.031 0.710
O 0.237 0.455 0.190
O 0.245 0.854 0.911
O 0.257 0.317 0.691
O 0.289 0.963 0.305
O 0.317 0.257 0.309
O 0.324 0.608 0.970
O 0.357 0.849 0.096
O 0.392 0.676 0.530
O 0.451 0.834 0.743
O 0.455 0.237 0.810
O 0.464 0.136 0.439
O 0.536 0.864 0.939
O 0.545 0.763 0.310
O 0.549 0.166 0.243
O 0.608 0.324 0.030
O 0.643 0.151 0.596
O 0.676 0.392 0.470
O 0.683 0.743 0.809
O 0.711 0.037 0.805
O 0.743 0.683 0.191
O 0.755 0.146 0.411
O 0.763 0.545 0.690
O 0.766 0.969 0.210
O 0.816 0.826 0.627
O 0.826 0.816 0.373
O 0.834 0.451 0.257
O 0.849 0.357 0.904
O 0.854 0.245 0.089
O 0.864 0.536 0.061
O 0.963 0.289 0.695
O 0.969 0.766 0.790



The following is a computed powder X-ray diffraction pattern of Mn3Cd. It was derived from the GGA-PBE geometry in the Materials Project, using λ = 1.5418 Å (Cu Kα).

The 10 most intense peaks (2θ = 10–90°), by angle:
2θ = 24.38°, I = 11
2θ = 28.22°, I = 6
2θ = 40.34°, I = 100
2θ = 47.69°, I = 5
2θ = 58.37°, I = 16
2θ = 64.19°, I = 2
2θ = 66.07°, I = 2
2θ = 73.34°, I = 30
2θ = 78.61°, I = 2
2θ = 87.19°, I = 10

Atomic structure:
abc: 4.472 4.472 4.472
angles: 60.00 60.00 60.00
Element x y z (fractional)
Mn 0.000 0.000 0.000
Mn 0.250 0.250 0.250
Mn 0.750 0.750 0.750
Cd 0.500 0.500 0.500



The following is a computed powder X-ray diffraction pattern of CsBaMg14. It was derived from the GGA-PBE geometry in the Materials Project, using λ = 1.5418 Å (Cu Kα).

The 10 most intense peaks (2θ = 10–90°), by angle:
2θ = 15.05°, I = 24
2θ = 15.98°, I = 26
2θ = 17.05°, I = 40
2θ = 22.02°, I = 27
2θ = 30.73°, I = 28
2θ = 31.79°, I = 22
2θ = 32.28°, I = 35
2θ = 34.50°, I = 46
2θ = 34.82°, I = 100
2θ = 45.17°, I = 19

Atomic structure:
abc: 11.093 6.772 6.772
angles: 59.25 90.00 90.00
Element x y z (fractional)
Cs 0.000 0.000 0.000
Ba 0.000 0.496 0.496
Mg 0.000 0.503 0.996
Mg 0.000 0.996 0.503
Mg 0.260 0.676 0.676
Mg 0.265 0.178 0.178
Mg 0.280 0.168 0.664
Mg 0.280 0.664 0.168
Mg 0.500 0.001 0.501
Mg 0.500 0.007 0.007
Mg 0.500 0.501 0.001
Mg 0.500 0.508 0.508
Mg 0.720 0.168 0.664
Mg 0.720 0.664 0.168
Mg 0.735 0.178 0.178
Mg 0.740 0.676 0.676



The following is a computed powder X-ray diffraction pattern of SmTiFe11N. It was derived from the GGA-PBE geometry in the Materials Project, using λ = 1.5418 Å (Cu Kα).

The 10 most intense peaks (2θ = 10–90°), by angle:
2θ = 29.68°, I = 39
2θ = 36.38°, I = 25
2θ = 36.60°, I = 24
2θ = 36.93°, I = 22
2θ = 42.05°, I = 37
2θ = 42.33°, I = 100
2θ = 42.40°, I = 54
2θ = 42.73°, I = 95
2θ = 47.96°, I = 30
2θ = 70.25°, I = 24

Atomic structure:
abc: 6.525 6.525 6.525
angles: 136.19 97.61 98.39
Element x y z (fractional)
Sm 0.000 0.000 0.000
Ti 0.373 0.373 0.000
Fe 0.004 0.006 0.497
Fe 0.004 0.507 0.998
Fe 0.230 0.730 0.500
Fe 0.233 0.510 0.723
Fe 0.367 0.007 0.360
Fe 0.509 0.006 0.002
Fe 0.509 0.507 0.503
Fe 0.647 0.007 0.640
Fe 0.648 0.648 0.000
Fe 0.781 0.281 0.500
Fe 0.787 0.510 0.277
N 0.006 0.506 0.500



The following is a computed powder X-ray diffraction pattern of DyI3O9. It was derived from the GGA-PBE geometry in the Materials Project, using λ = 1.5418 Å (Cu Kα).

The 10 most intense peaks (2θ = 10–90°), by angle:
2θ = 24.18°, I = 26
2θ = 25.11°, I = 38
2θ = 25.70°, I = 24
2θ = 26.27°, I = 40
2θ = 26.56°, I = 87
2θ = 26.74°, I = 64
2θ = 28.77°, I = 100
2θ = 43.68°, I = 33
2θ = 49.88°, I = 23
2θ = 55.80°, I = 20

Atomic structure:
abc: 7.209 8.610 13.552
angles: 90.00 100.30 90.00
Element x y z (fractional)
Dy 0.172 0.246 0.146
Dy 0.172 0.254 0.646
Dy 0.828 0.746 0.354
Dy 0.828 0.754 0.854
I 0.165 0.706 0.110
I 0.165 0.794 0.610
I 0.267 0.020 0.890
I 0.267 0.480 0.390
I 0.333 0.543 0.856
I 0.333 0.957 0.356
I 0.667 0.043 0.644
I 0.667 0.457 0.144
I 0.733 0.520 0.610
I 0.733 0.980 0.110
I 0.835 0.206 0.390
I 0.835 0.294 0.890
O 0.019 0.530 0.387
O 0.019 0.970 0.887
O 0.035 0.168 0.491
O 0.035 0.332 0.991
O 0.148 0.691 0.823
O 0.148 0.809 0.323
O 0.158 0.526 0.181
O 0.158 0.974 0.681
O 0.226 0.208 0.824
O 0.226 0.292 0.324
O 0.322 0.080 0.021
O 0.322 0.420 0.521
O 0.338 0.034 0.230
O 0.338 0.466 0.730
O 0.362 0.666 0.045
O 0.362 0.834 0.545
O 0.469 0.174 0.639
O 0.469 0.326 0.139
O 0.531 0.674 0.861
O 0.531 0.826 0.361
O 0.638 0.166 0.455
O 0.638 0.334 0.955
O 0.662 0.534 0.270
O 0.662 0.966 0.770
O 0.678 0.580 0.479
O 0.678 0.920 0.979
O 0.774 0.708 0.676
O 0.774 0.792 0.176
O 0.842 0.026 0.319
O 0.842 0.474 0.819
O 0.852 0.191 0.677
O 0.852 0.309 0.177
O 0.965 0.668 0.009
O 0.965 0.832 0.509
O 0.981 0.030 0.113
O 0.981 0.470 0.613



The following is a computed powder X-ray diffraction pattern of Zr2N2O. It was derived from the GGA-PBE geometry in the Materials Project, using λ = 1.5418 Å (Cu Kα).

The 10 most intense peaks (2θ = 10–90°), by angle:
2θ = 21.23°, I = 13
2θ = 30.20°, I = 100
2θ = 35.02°, I = 28
2θ = 37.21°, I = 6
2θ = 41.32°, I = 6
2θ = 45.09°, I = 9
2θ = 50.34°, I = 25
2θ = 50.39°, I = 12
2θ = 59.82°, I = 17
2θ = 59.91°, I = 9

Atomic structure:
abc: 8.869 8.874 8.880
angles: 109.41 109.41 109.53
Element x y z (fractional)
Zr 0.000 0.000 0.000
Zr 0.005 0.507 0.499
Zr 0.040 0.286 0.829
Zr 0.215 0.251 0.536
Zr 0.235 0.529 0.281
Zr 0.253 0.035 0.775
Zr 0.279 0.817 0.038
Zr 0.458 0.785 0.751
Zr 0.492 0.567 0.072
Zr 0.505 0.071 0.572
Zr 0.547 0.282 0.321
Zr 0.728 0.755 0.537
Zr 0.753 0.036 0.287
Zr 0.764 0.536 0.787
Zr 0.788 0.319 0.034
Zr 0.969 0.795 0.255
N 0.013 0.265 0.059
N 0.020 0.764 0.020
N 0.024 0.582 0.297
N 0.208 0.765 0.759
N 0.221 0.992 0.513
N 0.248 0.574 0.054
N 0.265 0.502 0.524
N 0.300 0.310 0.820
N 0.511 0.023 0.319
N 0.525 0.066 0.829
N 0.740 0.262 0.242
N 0.757 0.804 0.327
N 0.788 0.302 0.772
N 0.792 0.548 0.559
N 0.979 0.000 0.743
N 0.989 0.051 0.253
O 0.286 0.089 0.065
O 0.476 0.484 0.271
O 0.480 0.308 0.551
O 0.496 0.807 0.517
O 0.530 0.797 0.012
O 0.704 0.525 0.010
O 0.714 0.775 0.801
O 0.977 0.269 0.556



The following is a computed powder X-ray diffraction pattern of YGeIr. It was derived from the GGA-PBE geometry in the Materials Project, using λ = 1.5418 Å (Cu Kα).

The 10 most intense peaks (2θ = 10–90°), by angle:
2θ = 17.31°, I = 47
2θ = 27.05°, I = 47
2θ = 33.35°, I = 35
2θ = 33.88°, I = 78
2θ = 35.40°, I = 74
2θ = 41.00°, I = 100
2θ = 41.10°, I = 59
2θ = 41.96°, I = 58
2θ = 60.19°, I = 38
2θ = 67.21°, I = 39

Atomic structure:
abc: 6.875 4.307 7.682
angles: 90.00 90.00 90.00
Element x y z (fractional)
Y 0.007 0.250 0.191
Y 0.493 0.750 0.691
Y 0.507 0.250 0.309
Y 0.993 0.750 0.809
Ge 0.209 0.750 0.388
Ge 0.291 0.250 0.888
Ge 0.709 0.750 0.112
Ge 0.791 0.250 0.612
Ir 0.160 0.250 0.564
Ir 0.340 0.750 0.064
Ir 0.660 0.250 0.936
Ir 0.840 0.750 0.436



The following is a computed powder X-ray diffraction pattern of Tm3InS6. It was derived from the GGA-PBE geometry in the Materials Project, using λ = 1.5418 Å (Cu Kα).

The 10 most intense peaks (2θ = 10–90°), by angle:
2θ = 25.43°, I = 100
2θ = 26.56°, I = 48
2θ = 26.90°, I = 27
2θ = 27.46°, I = 58
2θ = 31.53°, I = 37
2θ = 35.06°, I = 41
2θ = 35.95°, I = 41
2θ = 41.82°, I = 30
2θ = 45.49°, I = 36
2θ = 47.57°, I = 28

Atomic structure:
abc: 13.259 16.500 3.823
angles: 90.00 90.00 90.00
Element x y z (fractional)
Tm 0.036 0.224 0.246
Tm 0.191 0.644 0.248
Tm 0.246 0.389 0.235
Tm 0.254 0.889 0.765
Tm 0.309 0.144 0.752
Tm 0.464 0.724 0.754
Tm 0.536 0.276 0.754
Tm 0.691 0.856 0.752
Tm 0.746 0.111 0.765
Tm 0.754 0.611 0.235
Tm 0.809 0.356 0.248
Tm 0.964 0.776 0.246
In 0.000 0.000 0.891
In 0.000 0.500 0.747
In 0.500 0.000 0.253
In 0.500 0.500 0.109
S 0.021 0.393 0.246
S 0.104 0.905 0.270
S 0.108 0.117 0.749
S 0.116 0.744 0.749
S 0.179 0.283 0.740
S 0.194 0.520 0.747
S 0.306 0.020 0.253
S 0.321 0.783 0.260
S 0.384 0.244 0.251
S 0.392 0.617 0.251
S 0.396 0.405 0.730
S 0.479 0.893 0.754
S 0.521 0.107 0.754
S 0.604 0.595 0.730
S 0.608 0.383 0.251
S 0.616 0.756 0.251
S 0.679 0.217 0.260
S 0.694 0.980 0.253
S 0.806 0.480 0.747
S 0.821 0.717 0.740
S 0.884 0.256 0.749
S 0.892 0.883 0.749
S 0.896 0.095 0.270
S 0.979 0.607 0.246



The following is a computed powder X-ray diffraction pattern of HfMg6AlO8. It was derived from the GGA-PBE geometry in the Materials Project, using λ = 1.5418 Å (Cu Kα).

The 10 most intense peaks (2θ = 10–90°), by angle:
2θ = 19.80°, I = 34
2θ = 20.42°, I = 57
2θ = 22.73°, I = 94
2θ = 28.60°, I = 50
2θ = 30.74°, I = 46
2θ = 35.40°, I = 67
2θ = 40.23°, I = 53
2θ = 41.54°, I = 100
2θ = 59.21°, I = 61
2θ = 60.19°, I = 30

Atomic structure:
abc: 4.348 4.348 8.966
angles: 90.00 90.00 90.00
Element x y z (fractional)
Hf 0.000 0.000 0.000
Mg 0.000 0.000 0.500
Mg 0.000 0.500 0.263
Mg 0.000 0.500 0.737
Mg 0.500 0.000 0.263
Mg 0.500 0.000 0.737
Mg 0.500 0.500 0.500
Al 0.500 0.500 0.000
O 0.000 0.000 0.256
O 0.000 0.000 0.744
O 0.000 0.500 0.000
O 0.000 0.500 0.500
O 0.500 0.000 0.000
O 0.500 0.000 0.500
O 0.500 0.500 0.271
O 0.500 0.500 0.729